Structure and calculated powder XRD pattern of Cs5SiTe4I2 (DFT lattice parameters and positions (GGA-PBE); copper Kα).
Neutral-atom scattering factors, no anomalous dispersion.

The 10 most intense peaks (5 to 70 degrees two-theta), sorted by position:
2θ (°)  I (rel.)
19.4  50
23.5  62
24.6  52
25.2  27
28.2  22
28.5  100
29.8  21
30.8  41
37.1  22
49.6  27

Structure:
```
Cs5SiTe4I2
1.0
11.606 0.000 0.000
0.000 6.220 4.627
0.000 -6.220 4.627
Cs Si Te I
5 1 4 2
Cartesian
0.000 0.000 0.000
3.071 -2.538 4.377
3.071 2.538 4.377
8.535 -2.538 4.377
8.535 2.538 4.377
5.803 0.000 9.144
3.696 0.000 1.233
5.803 -1.673 7.192
5.803 1.673 7.192
7.910 0.000 1.233
0.000 -2.881 6.717
0.000 2.881 6.717
```